1.
# CeCo2H7
Theoretical X-ray diffraction stick pattern, Cu Kα, 1.54184 Å. Input: the GGA-PBE geometry in Alexandria.

Most intense lines, 10 to 80 degrees two-theta, low angle first:
(1 1 0), d 4.214, I = 35.7; (0 2 1), d 2.707, I = 74.1; (1 1 1), d 2.682, I = 100.0; (1 3 0), d 2.470, I = 73.7; (2 0 0), d 2.415, I = 37.3; (2 2 1), d 1.802, I = 42.8; (1 5 1), d 1.471, I = 27.2; (1 3 2), d 1.422, I = 24.7

Structure:
```
data_CeCo2H7
_cell_length_a 4.830
_cell_length_b 8.622
_cell_length_c 3.477
_cell_angle_alpha 90.00
_cell_angle_beta 90.00
_cell_angle_gamma 90.00
_symmetry_space_group_name_H-M 'C m m m'
_symmetry_Int_Tables_number 65
_symmetry_space_group_name_Hall '-C 2 2'
loop_
_atom_site_label
_atom_site_fract_x
_atom_site_fract_y
_atom_site_fract_z
_atom_site_occupancy
Ce1 0.000 0.000 0.000 1
Co1 0.000 0.314 0.500 1
H1 0.000 0.320 0.000 1
H2 0.000 0.500 0.500 1
H3 0.178 0.150 0.500 1
```

=====

2.
# Ce6CoHg2H
Theoretical X-ray diffraction stick pattern, Cu Kα, 1.54184 Å. Input: the GGA-PBE geometry in Alexandria.

Most intense lines, 10 to 80 degrees two-theta, low angle first:
(1 2 0), d 2.966, I = 50.8; (0 2 0), d 2.901, I = 100.0; (2 2 2), d 2.605, I = 17.8; (0 2 2), d 2.445, I = 22.2; (2 0 2), d 2.438, I = 43.7; (1 -2 0), d 2.336, I = 12.2; (2 2 3), d 2.103, I = 12.9; (2 -2 0), d 1.805, I = 14.2

Structure:
```
data_Ce6CoHg2H
_cell_length_a 6.666
_cell_length_b 6.671
_cell_length_c 6.676
_cell_angle_alpha 65.37
_cell_angle_beta 65.53
_cell_angle_gamma 65.56
_symmetry_space_group_name_H-M 'P -1'
_symmetry_Int_Tables_number 2
_symmetry_space_group_name_Hall '-P 1'
loop_
_atom_site_label
_atom_site_fract_x
_atom_site_fract_y
_atom_site_fract_z
_atom_site_occupancy
Ce1 0.175 0.228 0.290 1
Ce2 0.271 0.210 0.827 1
Ce3 0.290 0.676 0.728 1
Co1 0.500 0.000 0.500 1
Hg1 0.228 0.727 0.229 1
H1 0.000 0.500 0.000 1
```

=====

3.
# LiCe2CoH6
Theoretical X-ray diffraction stick pattern, Cu Kα, 1.54184 Å. Input: the GGA-PBE geometry in Alexandria.

Most intense lines, 10 to 80 degrees two-theta, low angle first:
(1 0 1), d 3.164, I = 100.0; (1 1 0), d 2.499, I = 53.4; (1 0 2), d 2.043, I = 21.7; (0 2 1), d 1.961, I = 27.4; (1 1 2), d 1.699, I = 11.8; (2 1 1), d 1.543, I = 23.9; (0 1 3), d 1.455, I = 10.3; (2 1 2), d 1.337, I = 10.6

Structure:
```
data_LiCe2CoH6
_cell_length_a 4.9984
_cell_length_b 4.9984
_cell_length_c 4.6349
_cell_angle_alpha 90.00
_cell_angle_beta 90.00
_cell_angle_gamma 120.00
_symmetry_space_group_name_H-M 'P -3 m 1'
_symmetry_Int_Tables_number 164
_symmetry_space_group_name_Hall '-P 3 2"'
loop_
_atom_site_label
_atom_site_fract_x
_atom_site_fract_y
_atom_site_fract_z
_atom_site_occupancy
Li1 0.0000 0.0000 0.0000 1
Ce1 0.3333 0.6667 0.2680 1
Co1 0.0000 0.0000 0.5000 1
H1 0.1595 0.3191 0.7168 1
```

=====

4.
# Ce2MgCo3H12
Theoretical X-ray diffraction stick pattern, Cu Kα, 1.54184 Å. Input: the GGA-PBE geometry in Alexandria.

Most intense lines, 10 to 80 degrees two-theta, low angle first:
(1 0 1), d 4.922, I = 56.0; (1 1 0), d 3.053, I = 58.3; (1 0 4), d 2.840, I = 64.3; (0 2 1), d 2.594, I = 100.0; (1 1 3), d 2.524, I = 46.0; (2 0 2), d 2.461, I = 46.6; (0 1 5), d 2.400, I = 70.6; (1 2 5), d 1.605, I = 41.3

Structure:
```
data_Ce2MgCo3H12
_cell_length_a 6.1052
_cell_length_b 6.1052
_cell_length_c 13.4685
_cell_angle_alpha 90.00
_cell_angle_beta 90.00
_cell_angle_gamma 120.00
_symmetry_space_group_name_H-M 'R -3 m'
_symmetry_Int_Tables_number 166
_symmetry_space_group_name_Hall '-R 3 2"'
loop_
_atom_site_label
_atom_site_fract_x
_atom_site_fract_y
_atom_site_fract_z
_atom_site_occupancy
Ce1 0.0000 0.0000 0.1036 1
Mg1 0.0000 0.0000 0.5000 1
Co1 0.0000 0.5000 0.0000 1
H1 0.0168 0.5084 0.8847 1
H2 0.0571 0.5285 0.3301 1
```

=====

5.
# CePmCo2H8
Theoretical X-ray diffraction stick pattern, Cu Kα, 1.54184 Å. Input: the GGA-PBE geometry in Alexandria.

Most intense lines, 10 to 80 degrees two-theta, low angle first:
(0 1 2), d 3.598, I = 28.6; (1 0 4), d 2.978, I = 100.0; (1 1 0), d 2.258, I = 51.8; (0 1 8), d 1.980, I = 23.9; (1 1 6), d 1.817, I = 14.1; (0 2 4), d 1.799, I = 22.9; (2 1 4), d 1.407, I = 20.0; (0 1 14), d 1.243, I = 15.2

Structure:
```
data_CePmCo2H8
_cell_length_a 4.5157
_cell_length_b 4.5157
_cell_length_c 18.3740
_cell_angle_alpha 90.00
_cell_angle_beta 90.00
_cell_angle_gamma 120.00
_symmetry_space_group_name_H-M 'R -3 m'
_symmetry_Int_Tables_number 166
_symmetry_space_group_name_Hall '-R 3 2"'
loop_
_atom_site_label
_atom_site_fract_x
_atom_site_fract_y
_atom_site_fract_z
_atom_site_occupancy
Ce1 0.0000 0.0000 0.0000 1
Pm1 0.0000 0.0000 0.5000 1
Co1 0.0000 0.0000 0.2731 1
H1 0.0000 0.0000 0.3620 1
H2 0.0119 0.5060 0.5590 1
```

=====

6.
# CeCoSiH
Theoretical X-ray diffraction stick pattern, Cu Kα, 1.54184 Å. Input: the GGA-PBE geometry in Alexandria.

Most intense lines, 10 to 80 degrees two-theta, low angle first:
(1 0 1), d 3.461, I = 100.0; (1 1 0), d 2.765, I = 30.5; (1 0 2), d 2.694, I = 99.8; (1 1 1), d 2.592, I = 55.4; (1 1 2), d 2.218, I = 75.3; (2 0 0), d 1.955, I = 54.2; (1 0 4), d 1.678, I = 30.4; (2 1 2), d 1.582, I = 39.2

Structure:
```
data_CeCoSiH
_cell_length_a 3.911
_cell_length_b 3.911
_cell_length_c 7.431
_cell_angle_alpha 90.00
_cell_angle_beta 90.00
_cell_angle_gamma 90.00
_symmetry_space_group_name_H-M 'P 4/n m m'
_symmetry_Int_Tables_number 129
loop_
_symmetry_equiv_pos_as_xyz
'x,y,z'
'-x,-y,-z'
'-y+1/2,x,z'
'y+1/2,-x,-z'
'-x+1/2,-y+1/2,z'
'x+1/2,y+1/2,-z'
'y,-x+1/2,z'
'-y,x+1/2,-z'
'x+1/2,-y,-z'
'-x+1/2,y,z'
'-y,-x,-z'
'y,x,z'
'-x,y+1/2,-z'
'x,-y+1/2,z'
'y+1/2,x+1/2,-z'
'-y+1/2,-x+1/2,z'
loop_
_atom_site_label
_atom_site_fract_x
_atom_site_fract_y
_atom_site_fract_z
_atom_site_occupancy
Ce1 0.250 0.250 0.176 1
Co1 0.250 0.750 0.500 1
Si1 0.250 0.250 0.661 1
H1 0.250 0.750 0.000 1
```